Calculated XRD peak list of Ho3TeCN for a wavelength of 1.5418 Å, from DFT lattice parameters and positions (GGA-PBE).

Peak list (6 most intense, 2θ = 10–90°, low angle first)
hkl, Position (°2θ), I (rel.)
1 1 -2, 30.0, 37
0 1 2, 30.1, 97
2 0 1, 31.0, 66
2 1 -1, 33.8, 100
1 0 -4, 36.0, 27
0 2 0, 47.1, 26

Crystal structure
Cell lengths 7.2835, 3.8592, 9.9680 Å; angles 90.00, 110.84, 90.00 degrees
Element x y z (fractional)
Ho (0.0242, 0.2500, 0.3701)
Ho (0.2984, 0.2500, 0.9364)
Ho (0.4252, 0.7500, 0.6763)
Ho (0.5748, 0.2500, 0.3237)
Ho (0.7016, 0.7500, 0.0636)
Ho (0.9758, 0.7500, 0.6299)
Te (0.1947, 0.7500, 0.1939)
Te (0.8053, 0.2500, 0.8061)
C (0.1956, 0.2500, 0.6140)
C (0.8044, 0.7500, 0.3860)
N (0.4042, 0.7500, 0.8834)
N (0.5958, 0.2500, 0.1166)